Diffraction record for ZnFeO2. The X-ray powder pattern is calculated, not measured: it uses a DFT-relaxed cell (PBE+U, the Materials Project) and Cu Kα (λ = 1.5418 Å).
No peak broadening, texture or thermal motion is included.

Structure:
Lattice parameters (Å, degrees): 3.0929 8.0301 8.3906 90.09 94.51 90.72
Space group P-1 (No. 2)
Unique sites:
Zn 0.1575 0.4202 0.2666 [2 per cell]
Zn 0.2616 0.2468 0.8943 [2 per cell]
Fe 0.2170 0.9127 0.7811 [2 per cell]
Fe 0.4782 0.7566 0.4270 [2 per cell]
O 0.0109 0.7603 0.5778 [2 per cell]
O 0.2543 0.8930 0.2223 [2 per cell]
O 0.2893 0.2340 0.1195 [2 per cell]
O 0.3328 0.4237 0.7366 [2 per cell]

Most intense lines, 2θ = 15–90°, low angle first:
- 21.24°, rel. 57
- 22.14°, rel. 43
- 30.89°, rel. 100
- 33.53°, rel. 89
- 34.02°, rel. 83
- 34.76°, rel. 42
- 35.21°, rel. 77
- 36.99°, rel. 59
- 41.42°, rel. 31
- 44.28°, rel. 25
- 49.19°, rel. 32
- 56.15°, rel. 26

Diffraction record for ZnFeO2. The X-ray powder pattern is calculated, not measured: it uses a DFT-relaxed cell (PBE+U, the Materials Project) and Cu Kα (λ = 1.5418 Å).
No peak broadening, texture or thermal motion is included.

Structure:
Lattice parameters (Å, degrees): 15.6558 2.9840 9.7965 90.00 127.57 90.00
Space group C2/m (No. 12)
Unique sites:
Zn 0.0135 0.0000 0.3926 [4 per cell]
Zn 0.1861 0.5000 0.7053 [4 per cell]
Fe 0.1269 0.5000 0.9519 [4 per cell]
Fe 0.1548 0.0000 0.3227 [4 per cell]
O 0.0266 0.5000 0.2533 [4 per cell]
O 0.1443 0.0000 0.0990 [4 per cell]
O 0.1639 0.0000 0.8426 [4 per cell]
O 0.2067 0.0000 0.5773 [4 per cell]

Most intense lines, 2θ = 15–90°, low angle first:
- 33.89°, rel. 13
- 34.51°, rel. 100
- 34.66°, rel. 30
- 35.37°, rel. 35
- 37.19°, rel. 42
- 40.98°, rel. 37
- 41.83°, rel. 21
- 43.77°, rel. 28
- 48.78°, rel. 54
- 51.68°, rel. 30
- 61.11°, rel. 37
- 62.22°, rel. 20

Diffraction record for ZnFe4O9. The X-ray powder pattern is calculated, not measured: it uses a DFT-relaxed cell (PBE+U, the Materials Project) and Cu Kα (λ = 1.5418 Å).
No peak broadening, texture or thermal motion is included.

Structure:
Lattice parameters (Å, degrees): 5.1579 8.4221 8.4424 89.85 89.82 89.79
Space group P1 (No. 1)
Unique sites:
Zn 0.0000 0.0000 0.0000 [1 per cell]
Zn 0.0428 0.4997 0.4984 [1 per cell]
Fe 0.4014 0.9092 0.2819 [1 per cell]
Fe 0.4023 0.0903 0.7178 [1 per cell]
Fe 0.4026 0.7159 0.9102 [1 per cell]
Fe 0.4043 0.2823 0.0892 [1 per cell]
Fe 0.6353 0.2169 0.4093 [1 per cell]
Fe 0.6357 0.4094 0.7811 [1 per cell]
Fe 0.6358 0.7826 0.5900 [1 per cell]
Fe 0.6410 0.5889 0.2171 [1 per cell]
O 0.0607 0.9298 0.2178 [1 per cell]
O 0.0622 0.0712 0.7828 [1 per cell]
O 0.0626 0.7810 0.9338 [1 per cell]
O 0.0643 0.2182 0.0667 [1 per cell]
O 0.4819 0.6065 0.7112 [1 per cell]
O 0.4834 0.2893 0.6054 [1 per cell]
O 0.4850 0.3929 0.2876 [1 per cell]
O 0.4890 0.7106 0.3942 [1 per cell]
O 0.5177 0.4988 0.9989 [1 per cell]
O 0.5196 0.0002 0.4997 [1 per cell]
O 0.5508 0.7868 0.1058 [1 per cell]
O 0.5548 0.8929 0.7887 [1 per cell]
O 0.5565 0.1056 0.2105 [1 per cell]
O 0.5561 0.2102 0.8934 [1 per cell]
O 0.9754 0.7151 0.5738 [1 per cell]
O 0.9756 0.2816 0.4314 [1 per cell]
O 0.9759 0.4330 0.7169 [1 per cell]
O 0.9818 0.5635 0.2786 [1 per cell]

Most intense lines, 2θ = 15–90°, low angle first:
- 17.19°, rel. 63
- 20.18°, rel. 21
- 22.78°, rel. 83
- 22.84°, rel. 28
- 27.30°, rel. 45
- 29.24°, rel. 33
- 29.37°, rel. 100
- 33.61°, rel. 91
- 34.79°, rel. 53
- 42.50°, rel. 48
- 48.19°, rel. 35
- 48.35°, rel. 34

Diffraction record for ZnFe4O9. The X-ray powder pattern is calculated, not measured: it uses a DFT-relaxed cell (PBE+U, the Materials Project) and Cu Kα (λ = 1.5418 Å).
No peak broadening, texture or thermal motion is included.

Structure:
Lattice parameters (Å, degrees): 8.4323 8.4323 5.1579 90.00 90.00 90.00
Space group P-4 (No. 81)
Unique sites:
Zn 0.0000 0.5000 0.0214 [2 per cell]
Fe 0.0906 0.2164 0.6145 [4 per cell]
Fe 0.2823 0.5899 0.6196 [4 per cell]
O 0.0000 0.0000 0.5000 [1 per cell]
O 0.0692 0.2816 0.9606 [4 per cell]
O 0.1061 0.7097 0.4620 [4 per cell]
O 0.2117 0.3939 0.4636 [4 per cell]
O 0.2180 0.5656 0.9587 [4 per cell]
O 0.5000 0.5000 0.5000 [1 per cell]

Most intense lines, 2θ = 15–90°, low angle first:
- 17.19°, rel. 47
- 22.80°, rel. 84
- 27.32°, rel. 46
- 29.34°, rel. 100
- 33.61°, rel. 73
- 34.77°, rel. 44
- 42.46°, rel. 50
- 48.27°, rel. 52
- 51.61°, rel. 25
- 57.50°, rel. 29
- 64.48°, rel. 26
- 66.21°, rel. 23

Diffraction record for ZnFe2O5. The X-ray powder pattern is calculated, not measured: it uses a DFT-relaxed cell (PBE+U, the Materials Project) and Cu Kα (λ = 1.5418 Å).
No peak broadening, texture or thermal motion is included.

Structure:
Lattice parameters (Å, degrees): 3.7586 10.4984 11.0382 90.00 90.00 90.00
Space group Cmcm (No. 63)
Unique sites:
Zn 0.0000 0.1062 0.2500 [4 per cell]
Fe 0.0000 0.2028 0.5999 [8 per cell]
O 0.0000 0.0369 0.6375 [8 per cell]
O 0.0000 0.2482 0.0760 [8 per cell]
O 0.0000 0.3066 0.7500 [4 per cell]

Most intense lines, 2θ = 15–90°, low angle first:
- 16.89°, rel. 89
- 23.39°, rel. 28
- 25.17°, rel. 95
- 29.65°, rel. 100
- 35.18°, rel. 73
- 36.00°, rel. 38
- 48.44°, rel. 40
- 49.55°, rel. 19
- 52.61°, rel. 24
- 57.82°, rel. 26
- 60.65°, rel. 37
- 67.83°, rel. 21